# ZrCoSi
Theoretical powder diffraction line list, Cu Kα. Input: a structure optimized by DFT (GGA-PBE).

Peak list (6 most intense, 2θ from 5° to 70°, in order of rising 2θ)
two_theta, Rel. int., index
35.26, 20, 0 2 0
36.05, 51, 0 1 3
39.88, 45, 3 1 1
40.12, 32, 3 0 2
42.20, 50, 2 2 0
42.88, 100, 2 1 3

Atomic structure:
abc: 7.920 5.091 8.572
angles: 90.00 90.00 90.00
Space group Amm2 (No. 38)
Unique sites:
Zr1 0.181 0.000 0.000 [4 per cell]
Zr2 0.298 0.000 0.671 [4 per cell]
Co1 0.000 0.248 0.242 [4 per cell]
Co2 0.269 0.000 0.344 [4 per cell]
Si1 0.000 0.000 0.486 [2 per cell]
Si2 0.500 0.000 0.168 [2 per cell]
Si3 0.500 0.245 0.920 [4 per cell]